No. 1
Starting from a GGA+U-relaxed structure, the PXRD pattern of CoH2O2 was simulated for Cu Kα X-rays.
Kinematic intensities with the Lorentz-polarization factor, no thermal factor.

a b c (Å): 3.4265 3.4265 4.4402
angles (deg): 90.00 90.00 120.00
Space group P3m1 (No. 156)
Unique sites:
Co1 0.0000 0.0000 0.0000 (multiplicity 1)
H1 0.3333 0.6667 0.4395 (multiplicity 1)
H2 0.6667 0.3333 0.0334 (multiplicity 1)
O1 0.3333 0.6667 0.2188 (multiplicity 1)
O2 0.6667 0.3333 0.8097 (multiplicity 1)

Most intense lines, 5° ≤ 2θ ≤ 70°, in order of rising 2θ:
(0 0 1), 20.00°, I = 100
(1 0 0), 30.12°, I = 38
(0 1 1), 36.42°, I = 98
(0 0 2), 40.64°, I = 4
(0 1 2), 51.40°, I = 47
(1 1 0), 53.48°, I = 32
(1 1 1), 57.67°, I = 28
(2 0 0), 62.61°, I = 5
(2 0 1), 66.44°, I = 14
(1 1 2), 69.28°, I = 5

No. 2
Starting from a GGA+U-relaxed structure, the PXRD pattern of Li3V4O8 was simulated for Cu Kα X-rays.
Kinematic intensities with the Lorentz-polarization factor, no thermal factor.

a b c (Å): 5.9198 5.9198 15.1871
angles (deg): 90.00 90.00 120.00
Space group R-3m (No. 166, hexagonal axes)
Unique sites:
Li1 0.0000 0.0000 0.0000 (multiplicity 3)
Li2 0.0000 0.0000 0.1454 (multiplicity 6)
V1 0.0000 0.0000 0.5000 (multiplicity 3)
V2 0.0000 0.5000 0.0000 (multiplicity 9)
O1 0.0000 0.0000 0.2664 (multiplicity 6)
O2 0.0186 0.5093 0.2556 (multiplicity 18)

Most intense lines, 5° ≤ 2θ ≤ 70°, in order of rising 2θ:
(0 0 3), 17.52°, I = 50
(1 0 1), 18.26°, I = 96
(0 1 5), 34.32°, I = 19
(1 1 3), 35.12°, I = 34
(0 2 1), 35.51°, I = 23
(0 2 4), 42.55°, I = 100
(0 2 7), 55.49°, I = 10
(1 2 5), 56.32°, I = 11
(2 0 8), 60.71°, I = 30
(2 2 0), 62.79°, I = 29

No. 3
Starting from a GGA+U-relaxed structure, the PXRD pattern of Li2CoSiO4 was simulated for Cu Kα X-rays.
Kinematic intensities with the Lorentz-polarization factor, no thermal factor.

a b c (Å): 8.7256 5.0387 11.5336
angles (deg): 90.00 90.03 90.00
Space group P2 (No. 3)
Unique sites:
Li1 0.0592 0.0000 0.2475 (multiplicity 2)
Li2 0.1638 0.6702 0.5809 (multiplicity 2)
Li3 0.2233 0.4924 0.0859 (multiplicity 2)
Li4 0.2764 0.9922 0.9139 (multiplicity 2)
Li5 0.3353 0.1705 0.4190 (multiplicity 2)
Li6 0.4405 0.4998 0.7528 (multiplicity 2)
Co1 0.0000 0.9262 0.0000 (multiplicity 1)
Co2 0.2307 0.6188 0.3336 (multiplicity 2)
Co3 0.2702 0.1179 0.6663 (multiplicity 2)
Co4 0.5000 0.4255 0.0000 (multiplicity 1)
Si1 0.0000 0.2005 0.5000 (multiplicity 1)
Si2 0.0937 0.4811 0.8333 (multiplicity 2)
Si3 0.4063 0.9810 0.1664 (multiplicity 2)
Si4 0.5000 0.6997 0.5000 (multiplicity 1)
O1 0.0575 0.0114 0.6089 (multiplicity 2)
O2 0.0703 0.1674 0.8719 (multiplicity 2)
O3 0.0751 0.6034 0.2053 (multiplicity 2)
O4 0.1452 0.3924 0.4614 (multiplicity 2)
O5 0.1597 0.6617 0.9422 (multiplicity 2)
O6 0.2166 0.4892 0.7243 (multiplicity 2)
O7 0.2834 0.9895 0.2754 (multiplicity 2)
O8 0.3402 0.1617 0.0576 (multiplicity 2)
O9 0.3544 0.8914 0.5381 (multiplicity 2)
O10 0.4250 0.1037 0.7951 (multiplicity 2)
O11 0.4297 0.6672 0.1281 (multiplicity 2)
O12 0.4429 0.5107 0.3909 (multiplicity 2)

Most intense lines, 5° ≤ 2θ ≤ 70°, in order of rising 2θ:
(1 1 -1), 21.78°, I = 79
(1 1 -2), 25.60°, I = 100
(1 1 3), 31.00°, I = 65
(3 1 0), 35.64°, I = 38
(3 1 -2), 39.02°, I = 24
(1 1 5), 44.42°, I = 29
(4 0 3), 47.95°, I = 52
(4 2 -1), 56.36°, I = 25
(2 2 -5), 58.20°, I = 18
(6 0 2), 66.28°, I = 15

No. 4
Starting from a GGA+U-relaxed structure, the PXRD pattern of Mg14VNiO16 was simulated for Cu Kα X-rays.
Kinematic intensities with the Lorentz-polarization factor, no thermal factor.

a b c (Å): 8.5338 8.5338 4.2749
angles (deg): 90.00 90.00 90.00
Space group P4/mmm (No. 123)
Unique sites:
Mg1 0.0000 0.2491 0.0000 (multiplicity 4)
Mg2 0.0000 0.5000 0.5000 (multiplicity 2)
Mg3 0.2488 0.2488 0.5000 (multiplicity 4)
Mg4 0.2485 0.5000 0.0000 (multiplicity 4)
V1 0.5000 0.5000 0.5000 (multiplicity 1)
Ni1 0.0000 0.0000 0.5000 (multiplicity 1)
O1 0.0000 0.0000 0.0000 (multiplicity 1)
O2 0.0000 0.2501 0.5000 (multiplicity 4)
O3 0.0000 0.5000 0.0000 (multiplicity 2)
O4 0.2446 0.5000 0.5000 (multiplicity 4)
O5 0.2501 0.2501 0.0000 (multiplicity 4)
O6 0.5000 0.5000 0.0000 (multiplicity 1)

Most intense lines, 5° ≤ 2θ ≤ 70°, in order of rising 2θ:
(1 1 0), 14.68°, I = 7
(2 0 0), 20.80°, I = 5
(1 1 1), 25.54°, I = 4
(2 2 0), 29.59°, I = 4
(3 1 0), 33.20°, I = 2
(2 2 1), 36.45°, I = 17
(3 1 1), 39.49°, I = 3
(4 0 0), 42.34°, I = 100
(2 0 2), 47.62°, I = 2
(4 4 0), 61.42°, I = 56

No. 5
Starting from a GGA+U-relaxed structure, the PXRD pattern of VBiO2 was simulated for Cu Kα X-rays.
Kinematic intensities with the Lorentz-polarization factor, no thermal factor.

a b c (Å): 6.3593 6.3593 12.4104
angles (deg): 90.00 90.00 90.00
Space group I4_1/amd (No. 141, origin choice 2)
Unique sites:
V1 0.0000 0.0000 0.0000 (multiplicity 8)
Bi1 0.0000 0.0000 0.5000 (multiplicity 8)
O1 0.0000 0.0373 0.6965 (multiplicity 16)

Most intense lines, 5° ≤ 2θ ≤ 70°, in order of rising 2θ:
(1 0 1), 15.66°, I = 60
(0 0 4), 28.77°, I = 42
(2 0 2), 31.62°, I = 100
(2 1 1), 32.29°, I = 26
(2 2 0), 40.11°, I = 40
(2 2 4), 50.11°, I = 36
(2 0 6), 52.80°, I = 32
(4 0 0), 58.01°, I = 13
(4 0 4), 66.03°, I = 16
(4 2 2), 67.59°, I = 25

No. 6
Starting from a GGA+U-relaxed structure, the PXRD pattern of NdCrTeO6 was simulated for Cu Kα X-rays.
Kinematic intensities with the Lorentz-polarization factor, no thermal factor.

a b c (Å): 5.5497 5.5497 8.4912
angles (deg): 90.00 90.00 120.00
Space group P-31c (No. 163)
Unique sites:
Nd1 0.3333 0.6667 0.2500 (multiplicity 2)
Cr1 0.0000 0.0000 0.0000 (multiplicity 2)
Te1 0.3333 0.6667 0.7500 (multiplicity 2)
O1 0.0567 0.3577 0.8803 (multiplicity 12)

Most intense lines, 5° ≤ 2θ ≤ 70°, in order of rising 2θ:
(1 0 0), 18.46°, I = 24
(0 0 2), 20.92°, I = 41
(1 0 2), 28.04°, I = 100
(1 1 0), 32.26°, I = 74
(2 -1 2), 38.77°, I = 62
(2 0 2), 43.26°, I = 30
(1 1 4), 54.42°, I = 56
(3 -1 2), 54.98°, I = 29
(3 0 0), 57.53°, I = 27
(3 0 2), 61.90°, I = 14

No. 7
Starting from a GGA+U-relaxed structure, the PXRD pattern of TiFeO3 was simulated for Cu Kα X-rays.
Kinematic intensities with the Lorentz-polarization factor, no thermal factor.

a b c (Å): 5.1689 5.1689 14.1139
angles (deg): 90.00 90.00 120.00
Space group R-3 (No. 148, hexagonal axes)
Unique sites:
Ti1 0.0000 0.0000 0.1462 (multiplicity 6)
Fe1 0.0000 0.0000 0.3553 (multiplicity 6)
O1 0.0124 0.3721 0.4210 (multiplicity 18)

Most intense lines, 5° ≤ 2θ ≤ 70°, in order of rising 2θ:
(0 1 2), 23.54°, I = 30
(1 0 4), 32.31°, I = 100
(1 1 0), 34.71°, I = 71
(2 -1 3), 39.79°, I = 24
(0 2 4), 48.14°, I = 38
(1 1 6), 52.61°, I = 52
(0 1 8), 56.03°, I = 8
(2 1 4), 60.71°, I = 33
(3 0 0), 62.22°, I = 34
(1 0 10), 69.88°, I = 12

No. 8
Starting from a GGA+U-relaxed structure, the PXRD pattern of CaZrV2O8 was simulated for Cu Kα X-rays.
Kinematic intensities with the Lorentz-polarization factor, no thermal factor.

a b c (Å): 7.1149 7.1149 6.2366
angles (deg): 90.00 90.00 90.00
Space group I-4m2 (No. 119)
Unique sites:
Ca1 0.0000 0.0000 0.0000 (multiplicity 2)
Zr1 0.0000 0.5000 0.7500 (multiplicity 2)
V1 0.0000 0.0000 0.5000 (multiplicity 2)
V2 0.0000 0.5000 0.2500 (multiplicity 2)
O1 0.0000 0.1968 0.6664 (multiplicity 8)
O2 0.0000 0.3219 0.0592 (multiplicity 8)

Most intense lines, 5° ≤ 2θ ≤ 70°, in order of rising 2θ:
(1 1 0), 17.63°, I = 12
(1 0 1), 18.92°, I = 12
(2 0 0), 25.03°, I = 100
(1 1 2), 33.82°, I = 56
(2 2 0), 35.69°, I = 12
(3 1 2), 49.99°, I = 54
(4 0 0), 51.37°, I = 17
(4 2 0), 57.97°, I = 10
(3 3 2), 62.93°, I = 17
(2 0 4), 65.35°, I = 10